Simulated powder X-ray diffraction pattern of Na5Ni2P2C2O14 for Cu Kα (λ = 1.5418 Å), from a PBE+U-relaxed structure.

Atomic structure:
```
data_Na5Ni2P2C2O14
_chemical_formula_sum 'Na10 Ni4 P4 C4 O28'
_cell_length_a 10.1602
_cell_length_b 6.6190
_cell_length_c 10.3739
_cell_angle_alpha 90.00
_cell_angle_beta 119.18
_cell_angle_gamma 90.00
_symmetry_space_group_name_H-M 'P 1'
_symmetry_Int_Tables_number 1
_symmetry_space_group_name_Hall 'P 1'
loop_
_atom_site_label
_atom_site_type_symbol
_atom_site_fract_x
_atom_site_fract_y
_atom_site_fract_z
Na1 Na 0.0841 0.2500 0.4306
Na2 Na 0.2534 0.0062 0.2427
Na3 Na 0.2534 0.4938 0.2427
Na4 Na 0.2699 0.0137 0.7676
Na5 Na 0.2699 0.4863 0.7676
Na6 Na 0.7301 0.5137 0.2324
Na7 Na 0.7301 0.9863 0.2324
Na8 Na 0.7466 0.5062 0.7573
Na9 Na 0.7466 0.9938 0.7573
Na10 Na 0.9159 0.7500 0.5694
Ni1 Ni 0.3485 0.7500 0.5642
Ni2 Ni 0.3494 0.7500 0.0633
Ni3 Ni 0.6506 0.2500 0.9367
Ni4 Ni 0.6515 0.2500 0.4358
P1 P 0.4188 0.2500 0.5672
P2 P 0.4200 0.2500 0.0687
P3 P 0.5800 0.7500 0.9313
P4 P 0.5812 0.7500 0.4328
C1 C 0.0659 0.7500 0.3923
C2 C 0.0696 0.7500 0.8896
C3 C 0.9304 0.2500 0.1104
C4 C 0.9341 0.2500 0.6077
O1 O 0.0720 0.2500 0.1951
O2 O 0.0767 0.2500 0.6865
O3 O 0.1283 0.7500 0.5362
O4 O 0.1330 0.7500 0.0326
O5 O 0.1583 0.7500 0.3403
O6 O 0.1625 0.7500 0.8369
O7 O 0.3199 0.0644 0.5546
O8 O 0.3199 0.4356 0.5546
O9 O 0.3247 0.0616 0.0544
O10 O 0.3247 0.4384 0.0544
O11 O 0.4289 0.7500 0.7863
O12 O 0.4304 0.7500 0.2867
O13 O 0.4516 0.2500 0.4356
O14 O 0.4548 0.2500 0.9361
O15 O 0.5452 0.7500 0.0639
O16 O 0.5484 0.7500 0.5644
O17 O 0.5696 0.2500 0.7133
O18 O 0.5711 0.2500 0.2137
O19 O 0.6753 0.5616 0.9456
O20 O 0.6753 0.9384 0.9456
O21 O 0.6801 0.5644 0.4454
O22 O 0.6801 0.9356 0.4454
O23 O 0.8375 0.2500 0.1631
O24 O 0.8417 0.2500 0.6597
O25 O 0.8670 0.2500 0.9674
O26 O 0.8717 0.2500 0.4638
O27 O 0.9233 0.7500 0.3135
O28 O 0.9280 0.7500 0.8049
```

Top 10 peaks for 2θ = 10–80°, sorted by position:
- 16.7 deg, intensity 62.9, hkl 1 1 0
- 20.1 deg, intensity 42.3, hkl 2 0 -2
- 26.1 deg, intensity 46.9, hkl 1 0 2
- 26.9 deg, intensity 89.8, hkl 0 2 0
- 33.5 deg, intensity 51.8, hkl 0 2 2
- 33.8 deg, intensity 97.8, hkl 2 2 0
- 34.6 deg, intensity 100.0, hkl 2 0 -4
- 37.9 deg, intensity 42.1, hkl 4 1 -2
- 42.2 deg, intensity 52.4, hkl 0 1 4
- 49.5 deg, intensity 47.3, hkl 4 2 0